Entry 1:
LiRh: calculated powder XRD pattern (Cu Kα X-rays), based on the PBE geometry in the Materials Project.
Peak positions follow from Bragg's law for the DFT cell and can differ from measured ones.

Atomic structure:
```
LiRh
1.0
2.6785 0.0000 0.0000
-1.3393 2.3197 0.0000
0.0000 0.0000 4.3639
Li Rh
1 1
Cartesian
0.0000 0.0000 0.0000
1.3393 0.7732 2.1820
```

Top 9 peaks for 10° ≤ 2θ ≤ 80°, by angle:
two_theta, I/Imax
20.35, 100
38.82, 59
41.38, 19
44.22, 89
58.03, 36
64.01, 4
70.29, 11
74.05, 16
77.45, 16

Entry 2:
Ca5Ir: calculated powder XRD pattern (Cu Kα X-rays), based on the PBE geometry in the Materials Project.
Peak positions follow from Bragg's law for the DFT cell and can differ from measured ones.

Atomic structure:
```
Ca5Ir
1.0
7.6454 0.0000 0.0000
0.0000 15.7788 0.0000
0.0000 0.0000 6.7991
Ca Ir
20 4
Cartesian
0.2598 2.2884 1.2017
0.2598 5.6010 1.2017
0.7162 11.8341 2.3563
1.4714 1.0505 4.3673
1.4714 6.8389 4.3673
2.3513 8.9399 0.9677
2.3513 14.7283 0.9677
3.1065 3.9447 5.7558
3.5629 10.1778 4.6012
3.5629 13.4904 4.6012
4.0825 2.2884 2.1979
4.0825 5.6010 2.1979
4.5389 11.8341 1.0433
5.2941 1.0505 5.8314
5.2941 6.8389 5.8314
6.1740 8.9399 2.4318
6.1740 14.7283 2.4318
6.9292 3.9447 4.4429
7.3856 10.1778 5.5975
7.3856 13.4904 5.5975
1.8308 3.9447 3.1537
1.9919 11.8341 6.5533
5.6535 3.9447 0.2459
5.8146 11.8341 3.6454
```

Top 10 peaks for 10° ≤ 2θ ≤ 80°, by angle:
two_theta, I/Imax
11.22, 84
18.35, 100
24.36, 23
28.61, 16
30.94, 20
32.62, 20
33.43, 34
37.18, 19
38.14, 26
45.15, 16

Entry 3:
ScGa3: calculated powder XRD pattern (Cu Kα X-rays), based on the PBE geometry in the Materials Project.
Peak positions follow from Bragg's law for the DFT cell and can differ from measured ones.

Atomic structure:
```
ScGa3
1.0
4.1216 0.0000 0.0000
0.0000 4.1216 0.0000
0.0000 0.0000 4.1216
Sc Ga
1 3
Cartesian
0.0000 0.0000 0.0000
0.0000 2.0608 2.0608
2.0608 0.0000 2.0608
2.0608 2.0608 0.0000
```

Top 10 peaks for 10° ≤ 2θ ≤ 80°, by angle:
two_theta, I/Imax
21.56, 3
30.68, 3
37.81, 100
43.94, 48
49.45, 2
54.54, 1
63.88, 30
68.27, 1
72.52, 1
76.68, 35

Entry 4:
TaRu: calculated powder XRD pattern (Cu Kα X-rays), based on the PBE geometry in the Materials Project.
Peak positions follow from Bragg's law for the DFT cell and can differ from measured ones.

Atomic structure:
```
TaRu
1.0
1.6541 -2.3416 0.0000
1.6541 2.3416 0.0000
0.0000 0.0000 4.1624
Ta Ru
1 1
Cartesian
0.0000 0.0000 0.0000
1.6541 0.0000 2.0812
```

Top 10 peaks for 10° ≤ 2θ ≤ 80°, by angle:
two_theta, I/Imax
21.35, 8
38.44, 27
39.77, 100
43.48, 19
55.56, 9
59.42, 15
69.59, 10
70.43, 18
73.07, 8
77.31, 14

Entry 5:
Nb3Sb: calculated powder XRD pattern (Cu Kα X-rays), based on the PBE geometry in the Materials Project.
Peak positions follow from Bragg's law for the DFT cell and can differ from measured ones.

Atomic structure:
```
Nb3Sb
1.0
5.3120 0.0000 0.0000
0.0000 5.3120 0.0000
0.0000 0.0000 5.3120
Nb Sb
6 2
Cartesian
0.0000 1.3280 2.6560
0.0000 3.9840 2.6560
1.3280 2.6560 0.0000
2.6560 0.0000 1.3280
2.6560 0.0000 3.9840
3.9840 2.6560 0.0000
0.0000 0.0000 0.0000
2.6560 2.6560 2.6560
```

Top 9 peaks for 10° ≤ 2θ ≤ 80°, by angle:
two_theta, I/Imax
23.69, 3
33.75, 44
37.87, 100
41.65, 98
54.64, 1
60.36, 6
63.10, 22
65.78, 49
70.97, 17

Entry 6:
MgCuGe2O6: calculated powder XRD pattern (Cu Kα X-rays), based on the PBE geometry in the Materials Project.
Peak positions follow from Bragg's law for the DFT cell and can differ from measured ones.

Atomic structure:
```
MgCuGe2O6
1.0
5.0401 -4.6975 0.0000
5.0401 4.6975 0.0000
-1.5652 0.0000 5.0699
Mg Cu Ge O
2 2 4 12
Cartesian
3.8662 2.3831 3.8024
4.6488 -2.3831 1.2675
4.6488 3.6928 1.2675
3.8662 -3.6928 3.8024
2.6273 0.8643 1.1369
1.8448 -0.8643 3.6718
6.6702 0.8643 1.3981
5.8876 -0.8643 3.9330
0.9261 0.8840 0.6085
3.2067 2.2828 1.9399
0.1435 -0.8840 3.1435
2.0945 0.5484 4.7696
6.0909 2.2828 0.5951
2.8771 -0.5484 2.2346
5.6379 0.5484 2.8353
2.4241 -2.2828 4.4748
6.4204 -0.5484 0.3003
8.3715 0.8840 1.9264
5.3083 -2.2828 3.1300
7.5889 -0.8840 4.4614
```

Top 10 peaks for 10° ≤ 2θ ≤ 80°, by angle:
two_theta, I/Imax
19.64, 29
25.86, 34
28.67, 100
29.40, 94
33.48, 67
34.92, 71
35.41, 44
39.43, 28
54.26, 32
63.87, 32

Entry 7:
RbDyI3: calculated powder XRD pattern (Cu Kα X-rays), based on the PBE geometry in the Materials Project.
Peak positions follow from Bragg's law for the DFT cell and can differ from measured ones.

Atomic structure:
```
RbDyI3
1.0
8.7266 0.0000 0.0000
0.0000 11.9821 0.0000
0.0000 0.0000 8.2296
Rb Dy I
4 4 12
Cartesian
0.6439 2.9955 0.2305
3.7194 8.9866 4.3453
5.0073 2.9955 3.8843
8.0827 8.9866 7.9992
0.0000 0.0000 4.1148
0.0000 5.9911 4.1148
4.3633 0.0000 0.0000
4.3633 5.9911 0.0000
0.1335 8.9866 3.4024
1.8078 6.4914 6.5702
1.8078 11.4818 6.5702
2.5555 0.5003 2.4554
2.5555 5.4907 2.4554
4.2298 2.9955 7.5172
4.4968 8.9866 0.7124
6.1711 6.4914 5.7742
6.1711 11.4818 5.7742
6.9188 0.5003 1.6594
6.9188 5.4907 1.6594
8.5931 2.9955 4.8272
```

Top 10 peaks for 10° ≤ 2θ ≤ 80°, by angle:
two_theta, I/Imax
14.79, 71
20.98, 19
24.78, 24
25.05, 21
25.25, 20
29.84, 100
32.65, 22
33.47, 46
37.50, 27
42.70, 29

Entry 8:
LiCuF4: calculated powder XRD pattern (Cu Kα X-rays), based on the PBE geometry in the Materials Project.
Peak positions follow from Bragg's law for the DFT cell and can differ from measured ones.

Atomic structure:
```
LiCuF4
1.0
4.6908 0.0000 0.0000
0.0000 5.5345 0.0000
0.0000 0.0000 10.0706
Li Cu F
4 4 16
Cartesian
0.0000 0.0000 0.0000
0.0000 0.0000 5.0353
2.3454 2.7672 0.0000
2.3454 2.7672 5.0353
0.0000 1.7638 2.5176
0.0000 3.7706 7.5529
2.3454 1.0034 7.5529
2.3454 4.5311 2.5176
0.8483 1.6845 0.8624
0.8483 3.8500 5.8976
1.1419 0.3509 3.2326
1.1419 5.1835 8.2679
1.2035 2.4163 8.2679
1.2035 3.1182 3.2326
1.4971 1.0828 5.8976
1.4971 4.4517 0.8624
3.1937 1.0828 9.2082
3.1937 4.4517 4.1729
3.4873 2.4163 6.8379
3.4873 3.1182 1.8027
3.5490 0.3509 1.8027
3.5490 5.1835 6.8379
3.8425 1.6845 4.1729
3.8425 3.8500 9.2082
```

Top 10 peaks for 10° ≤ 2θ ≤ 80°, by angle:
two_theta, I/Imax
17.61, 63
26.43, 100
30.65, 12
36.71, 18
40.67, 13
41.94, 11
51.90, 13
52.11, 13
53.38, 21
54.42, 13

Entry 9:
CrN2: calculated powder XRD pattern (Cu Kα X-rays), based on the PBE geometry in the Materials Project.
Peak positions follow from Bragg's law for the DFT cell and can differ from measured ones.

Atomic structure:
```
CrN2
1.0
-5.4687 4.5884 2.7971
5.4687 -4.5884 2.7971
5.4687 4.5884 -2.7971
Cr N
4 8
Cartesian
1.0819 1.3357 0.0000
4.3869 1.3357 0.0000
1.0819 3.2527 2.7971
4.3869 3.2527 2.7971
0.0000 0.0000 0.1386
5.4687 0.0000 0.1386
2.7344 0.8365 0.0588
0.8175 2.4402 1.3013
4.6512 2.4402 1.3013
2.7344 3.7519 2.8558
-0.8175 6.7365 1.3013
0.8175 2.1482 4.0984
```

Top 10 peaks for 10° ≤ 2θ ≤ 80°, by angle:
two_theta, I/Imax
12.59, 100
16.21, 15
18.58, 68
26.30, 35
26.41, 35
32.00, 11
33.39, 13
34.51, 6
35.30, 22
47.47, 9

Entry 10:
LiHo2Rh: calculated powder XRD pattern (Cu Kα X-rays), based on the PBE geometry in the Materials Project.
Peak positions follow from Bragg's law for the DFT cell and can differ from measured ones.

Atomic structure:
```
LiHo2Rh
1.0
0.0000 3.4797 3.4797
3.4797 0.0000 3.4797
3.4797 3.4797 0.0000
Li Ho Rh
1 2 1
Cartesian
0.0000 0.0000 0.0000
1.7398 1.7398 1.7398
5.2195 5.2195 5.2195
3.4797 3.4797 3.4797
```

Top 10 peaks for 10° ≤ 2θ ≤ 80°, by angle:
two_theta, I/Imax
22.12, 13
25.60, 30
36.52, 100
43.11, 7
45.13, 9
52.60, 18
57.74, 3
59.39, 12
65.73, 36
77.60, 11